This entry pairs a crystal structure of Ti3Te2Se2 with its calculated X-ray diffraction stick pattern. Radiation: λ = 1.5418 Å (Cu Kα). Structure: a GGA-PBE-relaxed structure.
Intensities are scaled so that the largest is 100.

Structural model:
Lattice parameters (Å, degrees): 7.1654 7.1654 6.8315 116.40 116.40 29.82
Element x y z (fractional)
1 Ti 0.0000 0.0000 0.0000
2 Ti 0.2528 0.2528 0.1872
3 Ti 0.7472 0.7472 0.8128
4 Te 0.3654 0.3654 0.6826
5 Te 0.6346 0.6346 0.3174
6 Se 0.1123 0.1123 0.7849
7 Se 0.8877 0.8877 0.2151

Main lines, in order of rising 2θ (2θ = 10–90°):
29.45°, I = 40
30.42°, I = 31
30.94°, I = 67
31.41°, I = 100
40.05°, I = 31
46.92°, I = 44